For V2Bi4O11, a cell relaxed with GGA+U gives the calculated powder XRD pattern in this record (Cu Kα (weighted mean of Kα1 and Kα2)).
Intensities are scaled so that the largest is 100.

Largest 6 diffraction maxima, in order of rising 2θ, 2θ = 10–90°:
| (hkl) | two_theta | intensity |
| --- | --- | --- |
| 1 0 -1 | 14.60 | 63 |
| 1 1 0 | 15.65 | 75 |
| 1 2 0 | 22.23 | 55 |
| 1 2 1 | 25.69 | 59 |
| 2 1 0 | 27.21 | 62 |
| 0 2 2 | 27.64 | 100 |

Atomic structure:
```
34
Lattice="7.1055 0.0000 0.0000 0.0000 9.7844 0.0000 -1.8638 0.0000 8.5890" Properties=species:S:1:pos:R:3 pbc="T T T"
V -0.4762 0.0000 3.9301
V 1.7354 0.1946 0.7173
V 3.5062 5.0868 7.8716
V 5.7178 4.8922 4.6589
Bi -1.2530 7.7190 7.1020
Bi 0.8775 6.3828 2.1452
Bi 0.3057 4.2002 8.2572
Bi 2.1909 4.0278 4.3702
Bi 3.0508 8.9200 4.2188
Bi 4.9359 9.0924 0.3318
Bi 4.3641 1.4906 6.4438
Bi 6.4947 2.8268 1.4870
O -1.0214 0.3380 5.5560
O 0.3375 8.9158 0.6279
O 0.0505 1.4529 3.1314
O -0.0449 4.2201 5.5138
O 1.1634 1.8444 0.4383
O 0.8171 8.5940 4.0347
O 1.3511 4.2363 1.7386
O -0.1026 6.2818 8.4441
O 0.8990 9.4813 8.0139
O 2.3057 6.0473 3.7103
O 2.7111 9.6521 2.1198
O 2.5306 4.7599 6.4691
O 2.9360 1.1551 4.8787
O 4.3427 4.5891 0.5751
O 5.3443 1.3896 0.1449
O 3.8906 9.1286 6.8504
O 4.4246 3.7018 4.5543
O 4.0782 6.7367 8.1507
O 5.2866 9.1124 3.0752
O 5.1911 6.3451 5.4575
O 4.9042 4.0235 7.9611
O 6.2631 5.2302 3.0329
```